(1)
# Nd2GdAg4Sn4
Simulated X-ray powder pattern, Cu Kα. Input: a crystal structure in OQMD, relaxed with GGA-PBE.
No peak broadening, texture or thermal motion is included.

Cell and atoms:
Cell lengths 8.8840, 8.8840, 8.8840 Å; angles 149.60, 131.13, 58.65 degrees
Element x y z (fractional)
Nd  0.1284  0.1284  0.0000
Nd  0.8716  0.8716  0.0000
Gd  0.5000  0.0000  0.5000
Ag  0.1323  0.3290  0.8034
Ag  0.4744  0.6710  0.8034
Ag  0.5256  0.3290  0.1966
Ag  0.8677  0.6710  0.1966
Sn  0.1978  0.5000  0.6978
Sn  0.2863  0.7863  0.5000
Sn  0.7137  0.2137  0.5000
Sn  0.8022  0.5000  0.3022

Largest 10 diffraction maxima, sorted by position, 2θ from 10° to 90°:
Position (°2θ), intensity
31.3, 27.8
31.5, 100.0
32.4, 83.2
34.8, 29.4
35.6, 17.1
38.7, 46.4
40.8, 26.7
42.8, 32.4
57.4, 19.1
64.6, 16.9

---

(2)
# TlFe3Pb5
Simulated X-ray powder pattern, Cu Kα. Input: a crystal structure in OQMD, relaxed with GGA-PBE.
No peak broadening, texture or thermal motion is included.

Cell and atoms:
Cell lengths 5.4489, 5.4489, 8.6826 Å; angles 90.00, 90.00, 120.00 degrees
Element x y z (fractional)
Tl  0.0000  0.0000  0.0000
Fe  0.0000  0.5000  0.5000
Fe  0.5000  0.0000  0.5000
Fe  0.5000  0.5000  0.5000
Pb  0.0000  0.0000  0.5000
Pb  0.3333  0.6667  0.2210
Pb  0.3333  0.6667  0.7790
Pb  0.6667  0.3333  0.2210
Pb  0.6667  0.3333  0.7790

Largest 10 diffraction maxima, sorted by position, 2θ from 10° to 90°:
Position (°2θ), intensity
27.9, 100.0
32.9, 84.9
39.0, 14.1
41.6, 15.8
43.7, 53.8
54.0, 29.1
55.7, 30.9
58.7, 16.9
68.9, 14.8
83.8, 12.9

---

(3)
# ZnTePbO
Simulated X-ray powder pattern, Cu Kα. Input: a crystal structure in OQMD, relaxed with GGA-PBE.
No peak broadening, texture or thermal motion is included.

Cell and atoms:
Cell lengths 4.1316, 4.1316, 12.5740 Å; angles 90.00, 90.00, 120.00 degrees
Element x y z (fractional)
Zn  0.0000  0.0000  0.0000
Zn  0.0000  0.0000  0.5000
Te  0.3333  0.6667  0.0893
Te  0.6667  0.3333  0.5893
Pb  0.3333  0.6667  0.7895
Pb  0.6667  0.3333  0.2895
O  0.0000  0.0000  0.3459
O  0.0000  0.0000  0.8459

Largest 10 diffraction maxima, sorted by position, 2θ from 10° to 90°:
Position (°2θ), intensity
25.9, 77.6
28.4, 28.8
28.7, 33.0
32.9, 100.0
43.8, 53.4
50.5, 15.7
53.0, 30.8
55.9, 22.5
57.4, 20.8
73.6, 20.2

---

(4)
# SmAl8SiAu4
Simulated X-ray powder pattern, Cu Kα. Input: a crystal structure in OQMD, relaxed with GGA-PBE.
No peak broadening, texture or thermal motion is included.

Cell and atoms:
Cell lengths 15.0097, 15.0097, 15.0097 Å; angles 156.77, 156.77, 33.08 degrees
Element x y z (fractional)
Sm  0.2500  0.7500  0.5000
Sm  0.7500  0.2500  0.5000
Al  0.0913  0.0913  0.4967
Al  0.0913  0.5946  0.0000
Al  0.1972  0.1972  0.4995
Al  0.1972  0.6977  0.0000
Al  0.3023  0.3023  0.4995
Al  0.3023  0.8028  0.0000
Al  0.4054  0.4054  0.4967
Al  0.4054  0.9087  0.0000
Al  0.5946  0.0913  0.0000
Al  0.5946  0.5946  0.5033
Al  0.6977  0.1972  0.0000
Al  0.6977  0.6977  0.5005
Al  0.8028  0.3023  0.0000
Al  0.8028  0.8028  0.5005
Al  0.9087  0.4054  0.0000
Al  0.9087  0.9087  0.5033
Si  0.2079  0.2079  0.0000
Si  0.7921  0.7921  0.0000
Au  0.0000  0.0000  0.0000
Au  0.1052  0.6052  0.5000
Au  0.2930  0.2930  0.0000
Au  0.3948  0.8948  0.5000
Au  0.5000  0.5000  0.0000
Au  0.6052  0.1052  0.5000
Au  0.7070  0.7070  0.0000
Au  0.8948  0.3948  0.5000

Largest 10 diffraction maxima, sorted by position, 2θ from 10° to 90°:
Position (°2θ), intensity
24.2, 91.0
28.0, 100.0
29.6, 62.3
38.9, 30.8
42.3, 59.5
43.4, 54.5
49.2, 46.8
49.3, 28.0
51.5, 38.0
66.8, 37.7

---

(5)
# GdY2Cd
Simulated X-ray powder pattern, Cu Kα. Input: a crystal structure in OQMD, relaxed with GGA-PBE.
No peak broadening, texture or thermal motion is included.

Cell and atoms:
Cell lengths 5.2141, 6.7880, 6.7880 Å; angles 103.07, 90.00, 90.00 degrees
Element x y z (fractional)
Gd  0.2500  0.1122  0.8878
Gd  0.7500  0.8878  0.1122
Y  0.2500  0.1806  0.4022
Y  0.2500  0.6936  0.4689
Y  0.7500  0.4022  0.1806
Y  0.7500  0.4689  0.6936
Cd  0.2500  0.6167  0.9633
Cd  0.7500  0.9633  0.6167

Largest 10 diffraction maxima, sorted by position, 2θ from 10° to 90°:
Position (°2θ), intensity
32.1, 100.0
32.3, 15.1
33.7, 17.8
34.4, 26.8
37.3, 10.3
42.8, 8.1
48.9, 12.3
60.1, 15.9
63.6, 9.7
65.7, 8.1

---

(6)
# Pm4Pu3Te8
Simulated X-ray powder pattern, Cu Kα. Input: a crystal structure in OQMD, relaxed with GGA-PBE.
No peak broadening, texture or thermal motion is included.

Cell and atoms:
Cell lengths 8.8702, 8.8702, 8.8700 Å; angles 119.92, 119.92, 90.07 degrees
Element x y z (fractional)
Pm  0.0000  0.0000  0.0000
Pm  0.0000  0.5000  0.0000
Pm  0.5000  0.0000  0.0000
Pm  0.5000  0.5000  0.5000
Pu  0.0000  0.0000  0.5000
Pu  0.0000  0.5000  0.5000
Pu  0.5000  0.0000  0.5000
Te  0.2486  0.7514  0.5000
Te  0.2532  0.2532  0.5083
Te  0.2551  0.2551  0.9991
Te  0.2547  0.7453  0.0000
Te  0.7453  0.2547  0.0000
Te  0.7449  0.7449  0.0009
Te  0.7468  0.7468  0.4917
Te  0.7514  0.2486  0.5000

Largest 10 diffraction maxima, sorted by position, 2θ from 10° to 90°:
Position (°2θ), intensity
14.1, 7.0
20.0, 6.5
28.4, 100.0
40.7, 76.7
50.4, 27.6
58.8, 8.7
66.6, 17.9
66.7, 17.8
74.0, 13.2
74.0, 13.1

---

What did the first record say?
# Nd2GdAg4Sn4
Simulated X-ray powder pattern, Cu Kα. Input: a crystal structure in OQMD, relaxed with GGA-PBE.
No peak broadening, texture or thermal motion is included.

Cell and atoms:
Cell lengths 8.8840, 8.8840, 8.8840 Å; angles 149.60, 131.13, 58.65 degrees
Element x y z (fractional)
Nd  0.1284  0.1284  0.0000
Nd  0.8716  0.8716  0.0000
Gd  0.5000  0.0000  0.5000
Ag  0.1323  0.3290  0.8034
Ag  0.4744  0.6710  0.8034
Ag  0.5256  0.3290  0.1966
Ag  0.8677  0.6710  0.1966
Sn  0.1978  0.5000  0.6978
Sn  0.2863  0.7863  0.5000
Sn  0.7137  0.2137  0.5000
Sn  0.8022  0.5000  0.3022

Largest 10 diffraction maxima, sorted by position, 2θ from 10° to 90°:
Position (°2θ), intensity
31.3, 27.8
31.5, 100.0
32.4, 83.2
34.8, 29.4
35.6, 17.1
38.7, 46.4
40.8, 26.7
42.8, 32.4
57.4, 19.1
64.6, 16.9